Diffraction record for Cs2AlInCl6. The powder diffractogram is calculated, not measured: it uses a structure optimized by DFT (PBE) and Cu Kα (weighted mean of Kα1 and Kα2).
Kinematic intensities with the Lorentz-polarization factor, no thermal factor.

Most intense lines, 2θ from 15° to 90°, low angle first:
2θ/deg, I_rel
23.13, 100.0
28.42, 34.5
32.94, 61.5
35.99, 13.6
40.63, 40.2
47.27, 38.9
53.26, 25.9
58.81, 12.2
64.06, 26.6
78.67, 14.0

Crystal structure
a = 7.6919 Å, b = 7.6919 Å, c = 7.6919 Å
α = 60.00°, β = 60.00°, γ = 60.00°
Atoms (fractional coordinates):
1 Cs 0.2500 0.2500 0.2500
2 Cs 0.7500 0.7500 0.7500
3 Al 0.0000 0.0000 0.0000
4 In 0.5000 0.5000 0.5000
5 Cl 0.2170 0.2170 0.7830
6 Cl 0.2170 0.7830 0.2170
7 Cl 0.2170 0.7830 0.7830
8 Cl 0.7830 0.2170 0.2170
9 Cl 0.7830 0.2170 0.7830
10 Cl 0.7830 0.7830 0.2170


Diffraction record for AcSiO3. The powder diffractogram is calculated, not measured: it uses a structure optimized by DFT (PBE) and Cu Kα (weighted mean of Kα1 and Kα2).
Kinematic intensities with the Lorentz-polarization factor, no thermal factor.

Most intense lines, 2θ from 15° to 90°, low angle first:
2θ/deg, I_rel
22.39, 64.9
31.88, 100.0
39.31, 41.0
45.70, 30.1
51.47, 31.9
56.80, 41.0
66.63, 18.9
71.26, 15.9
75.77, 18.2
80.18, 14.5

Crystal structure
a = 3.9702 Å, b = 3.9702 Å, c = 3.9702 Å
α = 90.00°, β = 90.00°, γ = 90.00°
Atoms (fractional coordinates):
1 Ac 0.0000 0.0000 0.0000
2 Si 0.5000 0.5000 0.5000
3 O 0.0000 0.5000 0.5000
4 O 0.5000 0.0000 0.5000
5 O 0.5000 0.5000 0.0000


Diffraction record for Ti2FeIr. The powder diffractogram is calculated, not measured: it uses a structure optimized by DFT (PBE) and Cu Kα (weighted mean of Kα1 and Kα2).
Kinematic intensities with the Lorentz-polarization factor, no thermal factor.

Most intense lines, 2θ from 15° to 90°, low angle first:
2θ/deg, I_rel
25.19, 35.5
29.17, 26.0
41.73, 100.0
49.37, 18.7
51.72, 7.6
60.49, 16.1
66.58, 8.0
68.54, 10.1
76.17, 32.0
81.73, 6.3

Crystal structure
a = 6.1225 Å, b = 6.1225 Å, c = 6.1225 Å
α = 90.00°, β = 90.00°, γ = 90.00°
Atoms (fractional coordinates):
1 Ti 0.2500 0.2500 0.2500
2 Ti 0.2500 0.2500 0.7500
3 Ti 0.2500 0.7500 0.2500
4 Ti 0.2500 0.7500 0.7500
5 Ti 0.7500 0.2500 0.2500
6 Ti 0.7500 0.2500 0.7500
7 Ti 0.7500 0.7500 0.2500
8 Ti 0.7500 0.7500 0.7500
9 Fe 0.0000 0.0000 0.0000
10 Fe 0.0000 0.5000 0.5000
11 Fe 0.5000 0.0000 0.5000
12 Fe 0.5000 0.5000 0.0000
13 Ir 0.0000 0.0000 0.5000
14 Ir 0.0000 0.5000 0.0000
15 Ir 0.5000 0.0000 0.0000
16 Ir 0.5000 0.5000 0.5000


Diffraction record for SrZnIn3. The powder diffractogram is calculated, not measured: it uses a structure optimized by DFT (PBE) and Cu Kα (weighted mean of Kα1 and Kα2).
Kinematic intensities with the Lorentz-polarization factor, no thermal factor.

Most intense lines, 2θ from 15° to 90°, low angle first:
2θ/deg, I_rel
29.01, 26.7
30.59, 100.0
38.23, 52.4
40.09, 33.7
41.68, 23.0
48.69, 12.5
55.17, 17.5
57.83, 17.0
64.41, 22.6
70.35, 11.9

Crystal structure
a = 4.7087 Å, b = 4.7087 Å, c = 12.2036 Å
α = 90.00°, β = 90.00°, γ = 90.00°
Atoms (fractional coordinates):
1 Sr 0.0000 0.0000 0.0000
2 Sr 0.5000 0.5000 0.5000
3 Zn 0.0000 0.0000 0.6101
4 Zn 0.5000 0.5000 0.1101
5 In 0.0000 0.0000 0.3935
6 In 0.0000 0.5000 0.2387
7 In 0.0000 0.5000 0.7387
8 In 0.5000 0.0000 0.2387
9 In 0.5000 0.0000 0.7387
10 In 0.5000 0.5000 0.8935


Diffraction record for Mg16TaAl12. The powder diffractogram is calculated, not measured: it uses a structure optimized by DFT (PBE) and Cu Kα (weighted mean of Kα1 and Kα2).
Kinematic intensities with the Lorentz-polarization factor, no thermal factor.

Most intense lines, 2θ from 15° to 90°, low angle first:
2θ/deg, I_rel
17.00, 11.9
20.86, 24.7
27.03, 14.1
32.11, 25.6
36.55, 100.0
40.56, 20.7
42.45, 17.8
47.76, 12.9
63.01, 14.5
65.79, 29.2

Crystal structure
a = 9.0338 Å, b = 9.0338 Å, c = 9.0338 Å
α = 109.47°, β = 109.47°, γ = 109.47°
Atoms (fractional coordinates):
1 Mg 0.0000 0.0000 0.3437
2 Mg 0.0000 0.3167 0.6022
3 Mg 0.0000 0.3437 0.0000
4 Mg 0.0000 0.6022 0.3167
5 Mg 0.2855 0.6833 0.6833
6 Mg 0.3167 0.0000 0.6022
7 Mg 0.3167 0.6022 0.0000
8 Mg 0.3437 0.0000 0.0000
9 Mg 0.3978 0.3978 0.7145
10 Mg 0.3978 0.7145 0.3978
11 Mg 0.6022 0.0000 0.3167
12 Mg 0.6022 0.3167 0.0000
13 Mg 0.6563 0.6563 0.6563
14 Mg 0.6833 0.2855 0.6833
15 Mg 0.6833 0.6833 0.2855
16 Mg 0.7145 0.3978 0.3978
17 Ta 0.0000 0.0000 0.0000
18 Al 0.0000 0.6373 0.8159
19 Al 0.0000 0.8159 0.6373
20 Al 0.1786 0.3627 0.3627
21 Al 0.1841 0.1841 0.8214
22 Al 0.1841 0.8214 0.1841
23 Al 0.3627 0.1786 0.3627
24 Al 0.3627 0.3627 0.1786
25 Al 0.6373 0.0000 0.8159
26 Al 0.6373 0.8159 0.0000
27 Al 0.8159 0.0000 0.6373
28 Al 0.8159 0.6373 0.0000
29 Al 0.8214 0.1841 0.1841


Diffraction record for GdSiPd. The powder diffractogram is calculated, not measured: it uses a structure optimized by DFT (PBE) and Cu Kα (weighted mean of Kα1 and Kα2).
Kinematic intensities with the Lorentz-polarization factor, no thermal factor.

Most intense lines, 2θ from 15° to 90°, low angle first:
2θ/deg, I_rel
23.60, 38.6
33.57, 61.2
34.05, 46.0
34.36, 31.3
34.88, 100.0
35.09, 22.7
38.23, 22.1
41.41, 54.2
41.53, 42.0
54.77, 26.2

Crystal structure
a = 10.2452 Å, b = 4.3486 Å, c = 7.1371 Å
α = 90.00°, β = 132.45°, γ = 90.00°
Atoms (fractional coordinates):
1 Gd 0.0444 0.0000 0.3044
2 Gd 0.4556 0.5000 0.6956
3 Gd 0.5444 0.5000 0.3044
4 Gd 0.9556 0.0000 0.6956
5 Si 0.1552 0.5000 0.1048
6 Si 0.3448 0.0000 0.8952
7 Si 0.6552 0.0000 0.1048
8 Si 0.8448 0.5000 0.8952
9 Pd 0.1850 0.5000 0.7417
10 Pd 0.3150 0.0000 0.2583
11 Pd 0.6850 0.0000 0.7417
12 Pd 0.8150 0.5000 0.2583


Diffraction record for Ga3Pd5. The powder diffractogram is calculated, not measured: it uses a structure optimized by DFT (PBE) and Cu Kα (weighted mean of Kα1 and Kα2).
Kinematic intensities with the Lorentz-polarization factor, no thermal factor.

Most intense lines, 2θ from 15° to 90°, low angle first:
2θ/deg, I_rel
37.39, 10.8
39.55, 58.4
40.31, 100.0
40.47, 58.5
41.49, 24.9
44.40, 45.3
47.44, 29.4
62.38, 14.5
66.99, 20.3
78.96, 13.3

Crystal structure
a = 5.4937 Å, b = 10.7003 Å, c = 4.0809 Å
α = 90.00°, β = 90.00°, γ = 90.00°
Atoms (fractional coordinates):
1 Ga 0.0000 0.0000 0.0000
2 Ga 0.1619 0.3541 0.5000
3 Ga 0.3381 0.8541 0.5000
4 Ga 0.5000 0.5000 0.0000
5 Ga 0.6619 0.1459 0.5000
6 Ga 0.8381 0.6459 0.5000
7 Pd 0.0000 0.5000 0.0000
8 Pd 0.0829 0.7658 0.0000
9 Pd 0.1918 0.1042 0.5000
10 Pd 0.3082 0.6042 0.5000
11 Pd 0.4171 0.2658 0.0000
12 Pd 0.5000 0.0000 0.0000
13 Pd 0.5829 0.7342 0.0000
14 Pd 0.6918 0.3958 0.5000
15 Pd 0.8082 0.8958 0.5000
16 Pd 0.9171 0.2342 0.0000